Theoretical powder diffractogram
Compound: LaGe2Pd7
Radiation: λ = 1.5418 Å (Cu Kα)
Structure: a cell relaxed with GGA-PBE

Crystal structure
Cell: 7.101 7.101 4.613 Å, 90.00 90.00 117.32°
Fractional coordinates of all 10 atoms:
La 0.000 0.000 0.000
Ge 0.302 0.698 0.500
Ge 0.698 0.302 0.500
Pd 0.063 0.314 0.500
Pd 0.236 0.764 0.000
Pd 0.314 0.063 0.500
Pd 0.500 0.500 0.500
Pd 0.686 0.937 0.500
Pd 0.764 0.236 0.000
Pd 0.937 0.686 0.500

Principal peaks in the range 2θ from 10° to 90°, in order of rising 2θ:
2θ (°)	d_spacing	I_rel
35.4	2.534	78
38.4	2.344	100
39.1	2.307	85
42.3	2.138	85
43.9	2.062	78
55.9	1.644	66